(1)
Structure and theoretical PXRD pattern of RbBeVTe3 (the PBE geometry in Alexandria; λ = 1.5418 Å (Cu Kα)).

Lattice parameters (Å, degrees): 9.8339 4.0663 10.1521 90.00 115.42 90.00
Space group P2_1/m (No. 11)
Unique sites:
Rb 0.1939 0.2500 0.2344 [2 per cell]
Be 0.0777 0.2500 0.5912 [2 per cell]
V 0.3593 0.7500 0.8760 [2 per cell]
Te 0.1501 0.2500 0.8511 [2 per cell]
Te 0.2039 0.7500 0.5496 [2 per cell]
Te 0.4716 0.7500 0.1660 [2 per cell]

Peak list (8 most intense, 10 to 90 degrees two-theta, in order of falling intensity)
- 28.51°, intensity 100.0, hkl 2 1 -1
- 10.48°, intensity 61.1, hkl 1 0 -1
- 29.22°, intensity 48.2, hkl 0 0 3
- 30.19°, intensity 38.5, hkl 3 0 0
- 29.36°, intensity 34.3, hkl 0 1 2
- 27.58°, intensity 32.0, hkl 1 1 1
- 31.80°, intensity 30.9, hkl 3 0 -3
- 44.57°, intensity 30.4, hkl 0 2 0

(2)
Structure and theoretical PXRD pattern of RbBeTl (the PBE geometry in Alexandria; λ = 1.5418 Å (Cu Kα)).

Lattice parameters (Å, degrees): 4.2778 4.6741 12.3420 80.19 87.48 66.56
Space group P1 (No. 1)
Unique sites:
Rb 0.0000 0.0000 0.0000 [1 per cell]
Rb 0.4488 0.2978 0.3805 [1 per cell]
Be 0.3046 0.0374 0.6832 [1 per cell]
Be 0.8055 0.0309 0.6973 [1 per cell]
Tl 0.3214 0.4864 0.7939 [1 per cell]
Tl 0.8044 0.5864 0.5866 [1 per cell]

Peak list (8 most intense, 10 to 90 degrees two-theta, in order of falling intensity)
- 26.69°, intensity 100.0, hkl 1 0 -2
- 21.04°, intensity 99.4, hkl 0 1 1
- 27.38°, intensity 68.9, hkl 1 0 2
- 23.40°, intensity 57.7, hkl 0 1 -1
- 23.54°, intensity 55.4, hkl 0 1 2
- 29.76°, intensity 52.1, hkl 1 1 -2
- 36.97°, intensity 47.2, hkl 0 0 5
- 30.69°, intensity 46.4, hkl 1 1 3

(3)
Structure and theoretical PXRD pattern of RbBeV (the PBE geometry in Alexandria; λ = 1.5418 Å (Cu Kα)).

Lattice parameters (Å, degrees): 4.4215 4.5852 11.0500 89.53 85.30 61.45
Space group P1 (No. 1)
Unique sites:
Rb 0.0000 0.0000 0.0000 [1 per cell]
Rb 0.2781 0.4286 0.4181 [1 per cell]
Be 0.2509 0.9593 0.6601 [1 per cell]
Be 0.7604 0.9449 0.6606 [1 per cell]
V 0.2754 0.4554 0.7325 [1 per cell]
V 0.7027 0.4626 0.7291 [1 per cell]

Peak list (8 most intense, 10 to 90 degrees two-theta, in order of falling intensity)
- 24.26°, intensity 100.0, hkl 0 0 3
- 26.97°, intensity 72.8, hkl 1 0 2
- 23.26°, intensity 67.5, hkl 0 1 -1
- 23.01°, intensity 55.9, hkl 1 1 0
- 23.81°, intensity 55.5, hkl 0 1 1
- 25.07°, intensity 51.2, hkl 1 0 -1
- 32.43°, intensity 43.6, hkl 0 1 -3
- 24.00°, intensity 42.3, hkl 1 1 1

(4)
Structure and theoretical PXRD pattern of BeRe3 (the PBE geometry in Alexandria; λ = 1.5418 Å (Cu Kα)).

Lattice parameters (Å, degrees): 5.7644 7.4219 4.9068 90.00 90.00 90.00
Space group Pnma (No. 62)
Unique sites:
Be 0.1163 0.2500 0.0838 [4 per cell]
Re 0.0215 0.7500 0.3661 [4 per cell]
Re 0.1843 0.5504 0.8601 [8 per cell]

Peak list (8 most intense, 10 to 90 degrees two-theta, in order of falling intensity)
- 39.59°, intensity 100.0, hkl 2 2 0
- 40.85°, intensity 85.0, hkl 0 3 1
- 43.87°, intensity 84.7, hkl 2 2 1
- 39.94°, intensity 84.4, hkl 1 0 2
- 34.05°, intensity 78.3, hkl 1 2 1
- 41.83°, intensity 63.3, hkl 1 1 2
- 38.19°, intensity 56.5, hkl 2 1 1
- 47.12°, intensity 51.5, hkl 1 2 2

(5)
Structure and theoretical PXRD pattern of Be5Re3 (the PBE geometry in Alexandria; λ = 1.5418 Å (Cu Kα)).

Lattice parameters (Å, degrees): 4.3043 6.7774 6.7876 88.25 71.56 71.54
Space group P-1 (No. 2)
Unique sites:
Be 0.0579 0.1486 0.2404 [2 per cell]
Be 0.2347 0.3065 0.6987 [2 per cell]
Be 0.2498 0.0031 0.4969 [2 per cell]
Be 0.2654 0.8012 0.1933 [2 per cell]
Be 0.4419 0.2592 0.3522 [2 per cell]
Re 0.2003 0.6073 0.4862 [2 per cell]
Re 0.2496 0.5689 0.9309 [2 per cell]
Re 0.3000 0.0124 0.8937 [2 per cell]

Peak list (8 most intense, 10 to 90 degrees two-theta, in order of falling intensity)
- 29.90°, intensity 100.0, hkl 1 0 2
- 27.82°, intensity 89.3, hkl 0 0 2
- 45.00°, intensity 73.0, hkl 1 2 -2
- 13.81°, intensity 55.3, hkl 0 0 1
- 30.64°, intensity 51.4, hkl 1 -1 0
- 47.07°, intensity 49.4, hkl 2 2 2
- 47.67°, intensity 43.2, hkl 1 3 2
- 32.15°, intensity 39.1, hkl 0 2 1

(6)
Structure and theoretical PXRD pattern of Be2Re3 (the PBE geometry in Alexandria; λ = 1.5418 Å (Cu Kα)).

Lattice parameters (Å, degrees): 4.6862 8.5547 12.6103 90.00 90.00 90.00
Space group Fddd (No. 70, origin choice 2)
Unique sites:
Be 0.1250 0.1250 0.3214 [16 per cell]
Re 0.1250 0.1250 0.1250 [8 per cell]
Re 0.1250 0.1250 0.5128 [16 per cell]

Peak list (8 most intense, 10 to 90 degrees two-theta, in order of falling intensity)
- 30.42°, intensity 100.0, hkl 1 1 3
- 42.03°, intensity 91.4, hkl 1 1 5
- 44.07°, intensity 88.2, hkl 2 2 0
- 25.16°, intensity 65.5, hkl 0 2 2
- 42.26°, intensity 49.7, hkl 0 4 0
- 52.21°, intensity 49.0, hkl 1 3 5
- 42.91°, intensity 39.9, hkl 1 3 3
- 76.10°, intensity 24.8, hkl 2 2 8

(7)
Structure and theoretical PXRD pattern of Be5Re3 (the PBE geometry in Alexandria; λ = 1.5418 Å (Cu Kα)).

Lattice parameters (Å, degrees): 6.9281 6.9281 4.3059 90.00 90.00 120.00
Space group P6_3/mcm (No. 193)
Unique sites:
Be 0.0000 0.1998 0.2500 [6 per cell]
Be 0.3333 0.6667 0.0000 [4 per cell]
Re 0.0000 0.3950 0.7500 [6 per cell]

Peak list (8 most intense, 10 to 90 degrees two-theta, in order of falling intensity)
- 33.19°, intensity 100.0, hkl 1 1 1
- 45.19°, intensity 33.4, hkl 2 1 1
- 25.72°, intensity 33.1, hkl 1 1 0
- 59.56°, intensity 32.1, hkl 3 1 1
- 29.78°, intensity 29.7, hkl 2 0 0
- 14.76°, intensity 22.9, hkl 1 0 0
- 41.96°, intensity 17.5, hkl 0 0 2
- 45.35°, intensity 15.5, hkl 3 0 0

(8)
Structure and theoretical PXRD pattern of Be3ReSi2 (the PBE geometry in Alexandria; λ = 1.5418 Å (Cu Kα)).

Lattice parameters (Å, degrees): 4.2140 4.2393 8.4804 102.53 102.74 96.23
Space group P-1 (No. 2)
Unique sites:
Be 0.1239 0.2707 0.0649 [2 per cell]
Be 0.2716 0.1243 0.5650 [2 per cell]
Be 0.3051 0.7031 0.7497 [2 per cell]
Re 0.1086 0.8941 0.2502 [2 per cell]
Si 0.2722 0.4648 0.3828 [2 per cell]
Si 0.4650 0.2764 0.8828 [2 per cell]

Peak list (8 most intense, 10 to 90 degrees two-theta, in order of falling intensity)
- 27.05°, intensity 100.0, hkl 0 1 -2
- 22.19°, intensity 65.0, hkl 0 0 2
- 21.81°, intensity 53.8, hkl 0 1 0
- 21.93°, intensity 53.2, hkl 1 0 -1
- 30.52°, intensity 39.1, hkl -1 1 1
- 46.68°, intensity 30.1, hkl 1 1 2
- 45.17°, intensity 24.6, hkl 0 1 -4
- 26.86°, intensity 23.9, hkl 0 1 1